[1]
Simulated XRD peak list
Compound: SnH6CBr3N
Radiation: a wavelength of 1.5418 Å
Structure: a crystal structure in the Materials Project, relaxed with GGA-PBE
Peak positions follow from Bragg's law for the DFT cell and can differ from measured ones.

```
data_SnH6CBr3N
_cell_length_a 7.980
_cell_length_b 12.227
_cell_length_c 8.650
_cell_angle_alpha 90.00
_cell_angle_beta 90.00
_cell_angle_gamma 90.00
_space_group_name_H-M_alt 'P 1'
_space_group_IT_number 1
_space_group_name_Hall 'P 1'
loop_
_atom_site_label
_atom_site_type_symbol
_atom_site_fract_x
_atom_site_fract_y
_atom_site_fract_z
Sn1 Sn 0.000 0.000 0.000
Sn2 Sn 0.000 0.500 0.000
Sn3 Sn 0.500 0.000 0.500
Sn4 Sn 0.500 0.500 0.500
H1 H 0.006 0.177 0.370
H2 H 0.006 0.323 0.370
H3 H 0.010 0.682 0.350
H4 H 0.010 0.818 0.350
H5 H 0.161 0.250 0.586
H6 H 0.176 0.750 0.564
H7 H 0.324 0.250 0.064
H8 H 0.339 0.750 0.086
H9 H 0.490 0.182 0.850
H10 H 0.490 0.318 0.850
H11 H 0.494 0.677 0.870
H12 H 0.494 0.823 0.870
H13 H 0.506 0.177 0.130
H14 H 0.506 0.323 0.130
H15 H 0.510 0.682 0.150
H16 H 0.510 0.818 0.150
H17 H 0.661 0.250 0.914
H18 H 0.676 0.750 0.936
H19 H 0.824 0.250 0.436
H20 H 0.839 0.750 0.414
H21 H 0.990 0.182 0.650
H22 H 0.990 0.318 0.650
H23 H 0.994 0.677 0.630
H24 H 0.994 0.823 0.630
C1 C 0.039 0.750 0.571
C2 C 0.461 0.250 0.071
C3 C 0.539 0.750 0.929
C4 C 0.961 0.250 0.429
Br1 Br 0.056 0.750 0.999
Br2 Br 0.202 0.522 0.292
Br3 Br 0.202 0.978 0.292
Br4 Br 0.298 0.022 0.792
Br5 Br 0.298 0.478 0.792
Br6 Br 0.444 0.250 0.499
Br7 Br 0.556 0.750 0.501
Br8 Br 0.702 0.522 0.208
Br9 Br 0.702 0.978 0.208
Br10 Br 0.798 0.022 0.708
Br11 Br 0.798 0.478 0.708
Br12 Br 0.944 0.250 0.001
N1 N 0.031 0.250 0.590
N2 N 0.469 0.750 0.090
N3 N 0.531 0.250 0.910
N4 N 0.969 0.750 0.410
```

Peak list (12 most intense, 2θ from 5° to 70°, by angle)
d [Å]	intensity
6.114	58
5.865	100
3.531	17
3.057	61
2.933	77
2.711	75
2.644	33
2.543	17
2.116	54
2.028	33
1.955	17
1.765	18


[2]
Simulated XRD peak list
Compound: BaH4I2O2
Radiation: a wavelength of 1.5418 Å
Structure: a crystal structure in the Materials Project, relaxed with GGA-PBE
Peak positions follow from Bragg's law for the DFT cell and can differ from measured ones.

```
data_BaH4I2O2
_cell_length_a 6.748
_cell_length_b 6.748
_cell_length_c 8.801
_cell_angle_alpha 107.13
_cell_angle_beta 107.13
_cell_angle_gamma 69.16
_space_group_name_H-M_alt 'P 1'
_space_group_IT_number 1
_space_group_name_Hall 'P 1'
loop_
_atom_site_label
_atom_site_type_symbol
_atom_site_fract_x
_atom_site_fract_y
_atom_site_fract_z
Ba1 Ba 0.096 0.904 0.750
Ba2 Ba 0.904 0.096 0.250
H1 H 0.213 0.639 0.387
H2 H 0.220 0.627 0.052
H3 H 0.361 0.787 0.113
H4 H 0.373 0.780 0.448
H5 H 0.627 0.220 0.552
H6 H 0.639 0.213 0.887
H7 H 0.780 0.373 0.948
H8 H 0.787 0.361 0.613
I1 I 0.274 0.310 0.649
I2 I 0.310 0.274 0.149
I3 I 0.690 0.726 0.851
I4 I 0.726 0.690 0.351
O1 O 0.213 0.778 0.055
O2 O 0.222 0.787 0.445
O3 O 0.778 0.213 0.555
O4 O 0.787 0.222 0.945
```

Peak list (12 most intense, 2θ from 5° to 70°, by angle)
d [Å]	intensity
5.526	25
4.109	31
3.830	54
3.813	36
3.152	89
3.126	100
3.081	39
3.022	98
2.594	25
2.208	25
2.198	28
1.907	35